This entry pairs a crystal structure of TiNb6V with its computed powder diffractogram. Radiation: Cu Kα. Structure: a structure optimized by DFT (PBE).
Lines closer than 0.1° are merged.

Atomic structure:
```
data_TiNb6V
_cell_length_a 6.5611
_cell_length_b 9.2847
_cell_length_c 4.6178
_cell_angle_alpha 90.00
_cell_angle_beta 90.00
_cell_angle_gamma 90.00
_symmetry_space_group_name_H-M 'C m m m'
_symmetry_Int_Tables_number 65
_symmetry_space_group_name_Hall '-C 2 2'
loop_
_atom_site_label
_atom_site_type_symbol
_atom_site_fract_x
_atom_site_fract_y
_atom_site_fract_z
Ti1 Ti 0.0000 0.0000 0.0000
Nb1 Nb 0.0000 0.2457 0.5000
Nb2 Nb 0.2388 0.5000 0.5000
Nb3 Nb 0.2500 0.2500 0.0000
V1 V 0.0000 0.5000 0.0000
```

Largest 12 diffraction maxima, low angle first, 2θ = 10–80°:
2θ 19.1, rel. 2, (0 2 0); 2θ 19.2, rel. 2, (0 0 1); 2θ 27.2, rel. 3, (0 2 1); 2θ 33.5, rel. 2, (2 0 1); 2θ 38.8, rel. 100, (0 4 0); 2θ 39.0, rel. 20, (0 0 2); 2θ 52.2, rel. 1, (2 4 1); 2θ 56.1, rel. 7, (4 0 0); 2θ 56.2, rel. 13, (0 4 2); 2θ 70.3, rel. 19, (2 6 1); 2θ 70.4, rel. 6, (4 0 2); 2θ 70.6, rel. 13, (2 2 3)